# TmGa2Se2S2
Computed X-ray diffraction stick pattern, Cu Kα (λ = 1.5418 Å). Input: a crystal structure in OQMD, relaxed with PBE.
Intensities are scaled so that the largest is 100.

Main lines, most intense first (10 to 80 degrees two-theta):
2θ/deg  intensity
26.4  100
26.8  73
44.8  40
45.5  36
20.8  35
17.0  30
42.3  28
41.4  24
16.5  22
16.6  18

Crystal structure
a = 8.5405 Å, b = 10.6553 Å, c = 6.0032 Å
α = 90.00°, β = 133.36°, γ = 90.00°
Fractional coordinates of all 14 atoms:
Tm1 0.0000 0.0000 0.0000
Tm2 0.5000 0.5000 0.0000
Ga1 0.0000 0.4868 0.0000
Ga2 0.0000 0.7344 0.5000
Ga3 0.5000 0.2344 0.5000
Ga4 0.5000 0.9868 0.0000
Se1 0.2479 0.8501 0.5023
Se2 0.2521 0.3501 0.4977
Se3 0.7479 0.3501 0.5023
Se4 0.7521 0.8501 0.4977
S1 0.2154 0.6208 0.9526
S2 0.2846 0.1208 0.0474
S3 0.7154 0.1208 0.9526
S4 0.7846 0.6208 0.0474

# ZnGa2Se2S2
Computed X-ray diffraction stick pattern, Cu Kα (λ = 1.5418 Å). Input: a crystal structure in OQMD, relaxed with PBE.
Intensities are scaled so that the largest is 100.

Main lines, most intense first (10 to 80 degrees two-theta):
2θ/deg  intensity
28.2  100
47.5  81
28.7  81
46.3  23
18.2  20
47.5  20
23.2  19
56.9  15
16.5  13
56.3  12

Crystal structure
a = 7.6528 Å, b = 10.7236 Å, c = 5.4658 Å
α = 90.00°, β = 134.21°, γ = 90.00°
Fractional coordinates of all 14 atoms:
Zn1 0.0000 0.0000 0.0000
Zn2 0.5000 0.5000 0.0000
Ga1 0.0000 0.4990 0.0000
Ga2 0.0000 0.7405 0.5000
Ga3 0.5000 0.2405 0.5000
Ga4 0.5000 0.9990 0.0000
Se1 0.2281 0.3612 0.4947
Se2 0.2719 0.8612 0.5053
Se3 0.7281 0.8612 0.4947
Se4 0.7719 0.3612 0.5053
S1 0.2474 0.6264 0.0042
S2 0.2526 0.1264 0.9958
S3 0.7474 0.1264 0.0042
S4 0.7526 0.6264 0.9958

# Zn2GaSeS2
Computed X-ray diffraction stick pattern, Cu Kα (λ = 1.5418 Å). Input: a crystal structure in OQMD, relaxed with PBE.
Intensities are scaled so that the largest is 100.

Main lines, most intense first (10 to 80 degrees two-theta):
2θ/deg  intensity
27.4  100
26.7  61
28.4  60
44.3  49
46.6  45
46.3  24
46.0  19
54.9  18
53.3  18
53.7  14

Crystal structure
a = 6.8140 Å, b = 6.8140 Å, c = 7.1657 Å
α = 100.33°, β = 100.33°, γ = 120.76°
Fractional coordinates of all 12 atoms:
Zn1 0.0729 0.9271 0.5000
Zn2 0.2726 0.7781 0.0092
Zn3 0.7781 0.2726 0.5092
Zn4 0.9271 0.0729 0.0000
Ga1 0.3962 0.6168 0.4798
Ga2 0.6168 0.3962 0.9798
Se1 0.3239 0.4668 0.1009
Se2 0.4668 0.3239 0.6009
S1 0.1302 0.6699 0.6536
S2 0.6699 0.1302 0.1536
S3 0.8055 0.9842 0.6397
S4 0.9842 0.8055 0.1397

# Sr5ZnGa6S15
Computed X-ray diffraction stick pattern, Cu Kα (λ = 1.5418 Å). Input: a crystal structure in OQMD, relaxed with PBE.
Intensities are scaled so that the largest is 100.

Main lines, most intense first (10 to 80 degrees two-theta):
2θ/deg  intensity
28.2  100
25.8  76
29.2  62
31.8  58
28.7  50
21.8  43
50.6  40
30.3  33
45.3  25
38.5  24

Crystal structure
a = 22.5137 Å, b = 9.6923 Å, c = 9.6923 Å
α = 142.58°, β = 90.00°, γ = 90.00°
Fractional coordinates of all 54 atoms:
Sr1 0.1113 0.1356 0.8644
Sr2 0.1129 0.9042 0.2009
Sr3 0.2500 0.4336 0.7350
Sr4 0.3871 0.9042 0.2009
Sr5 0.3887 0.1356 0.8644
Sr6 0.6113 0.8644 0.1356
Sr7 0.6129 0.2009 0.9042
Sr8 0.7500 0.7350 0.4336
Sr9 0.8871 0.2009 0.9042
Sr10 0.8887 0.8644 0.1356
Zn1 0.0000 0.5157 0.5157
Zn2 0.5000 0.5157 0.5157
Ga1 0.0286 0.3796 0.7666
Ga2 0.1595 0.5129 0.4435
Ga3 0.2500 0.8117 0.4212
Ga4 0.2500 0.9893 0.9254
Ga5 0.3405 0.5129 0.4435
Ga6 0.4714 0.3796 0.7666
Ga7 0.5286 0.7666 0.3796
Ga8 0.6595 0.4435 0.5129
Ga9 0.7500 0.4212 0.8117
Ga10 0.7500 0.9254 0.9893
Ga11 0.8405 0.4435 0.5129
Ga12 0.9714 0.7666 0.3796
S1 0.0017 0.6688 0.8613
S2 0.0044 0.4189 0.0288
S3 0.0832 0.2750 0.2796
S4 0.1293 0.3298 0.7329
S5 0.1576 0.6580 0.3417
S6 0.1671 0.7920 0.8283
S7 0.2500 0.1339 0.8224
S8 0.2500 0.3094 0.3225
S9 0.2500 0.8957 0.2599
S10 0.3329 0.7920 0.8283
S11 0.3424 0.6580 0.3417
S12 0.3707 0.3298 0.7329
S13 0.4168 0.2750 0.2796
S14 0.4956 0.4189 0.0288
S15 0.4983 0.6688 0.8613
S16 0.5017 0.8613 0.6688
S17 0.5044 0.0288 0.4189
S18 0.5832 0.2796 0.2750
S19 0.6293 0.7329 0.3298
S20 0.6576 0.3417 0.6580
S21 0.6671 0.8283 0.7920
S22 0.7500 0.2599 0.8957
S23 0.7500 0.3225 0.3094
S24 0.7500 0.8224 0.1339
S25 0.8329 0.8283 0.7920
S26 0.8424 0.3417 0.6580
S27 0.8707 0.7329 0.3298
S28 0.9168 0.2796 0.2750
S29 0.9956 0.0288 0.4189
S30 0.9983 0.8613 0.6688

# Ta4GaSb
Computed X-ray diffraction stick pattern, Cu Kα (λ = 1.5418 Å). Input: a crystal structure in OQMD, relaxed with PBE.
Intensities are scaled so that the largest is 100.

Main lines, most intense first (10 to 80 degrees two-theta):
2θ/deg  intensity
30.5  100
54.6  78
30.0  59
38.7  54
36.8  46
23.0  37
41.7  34
37.5  33
54.5  30
42.4  25

Crystal structure
a = 7.5619 Å, b = 7.7470 Å, c = 4.6527 Å
α = 90.00°, β = 90.00°, γ = 90.00°
Fractional coordinates of all 12 atoms:
Ta1 0.0000 0.1642 0.0000
Ta2 0.0000 0.8358 0.0000
Ta3 0.1812 0.5000 0.5000
Ta4 0.3188 0.0000 0.5000
Ta5 0.5000 0.3358 0.0000
Ta6 0.5000 0.6642 0.0000
Ta7 0.6812 0.0000 0.5000
Ta8 0.8188 0.5000 0.5000
Ga1 0.0000 0.0000 0.5000
Ga2 0.5000 0.5000 0.5000
Sb1 0.0000 0.5000 0.0000
Sb2 0.5000 0.0000 0.0000

# ScTa2Ga
Computed X-ray diffraction stick pattern, Cu Kα (λ = 1.5418 Å). Input: a crystal structure in OQMD, relaxed with PBE.
Intensities are scaled so that the largest is 100.

Main lines, most intense first (10 to 80 degrees two-theta):
2θ/deg  intensity
38.4  100
69.5  35
23.3  30
55.5  17
45.4  16
61.0  7
74.4  5

Crystal structure
a = 6.6254 Å, b = 6.6254 Å, c = 6.6254 Å
α = 90.00°, β = 90.00°, γ = 90.00°
Fractional coordinates of all 16 atoms:
Sc1 0.0000 0.0000 0.0000
Sc2 0.0000 0.5000 0.5000
Sc3 0.5000 0.0000 0.5000
Sc4 0.5000 0.5000 0.0000
Ta1 0.0000 0.0000 0.5000
Ta2 0.0000 0.5000 0.0000
Ta3 0.2500 0.2500 0.2500
Ta4 0.2500 0.7500 0.7500
Ta5 0.5000 0.0000 0.0000
Ta6 0.5000 0.5000 0.5000
Ta7 0.7500 0.2500 0.7500
Ta8 0.7500 0.7500 0.2500
Ga1 0.2500 0.2500 0.7500
Ga2 0.2500 0.7500 0.2500
Ga3 0.7500 0.2500 0.2500
Ga4 0.7500 0.7500 0.7500

# Sc2GaW
Computed X-ray diffraction stick pattern, Cu Kα (λ = 1.5418 Å). Input: a crystal structure in OQMD, relaxed with PBE.
Intensities are scaled so that the largest is 100.

Main lines, most intense first (10 to 80 degrees two-theta):
2θ/deg  intensity
38.4  100
23.3  39
69.5  33
45.4  21
55.5  17
26.9  12
61.0  9
74.4  7
62.7  5
47.5  4

Crystal structure
a = 6.6253 Å, b = 6.6253 Å, c = 6.6253 Å
α = 90.00°, β = 90.00°, γ = 90.00°
Fractional coordinates of all 16 atoms:
Sc1 0.0000 0.0000 0.0000
Sc2 0.0000 0.5000 0.5000
Sc3 0.2500 0.2500 0.2500
Sc4 0.2500 0.7500 0.7500
Sc5 0.5000 0.0000 0.5000
Sc6 0.5000 0.5000 0.0000
Sc7 0.7500 0.2500 0.7500
Sc8 0.7500 0.7500 0.2500
Ga1 0.0000 0.0000 0.5000
Ga2 0.0000 0.5000 0.0000
Ga3 0.5000 0.0000 0.0000
Ga4 0.5000 0.5000 0.5000
W1 0.2500 0.2500 0.7500
W2 0.2500 0.7500 0.2500
W3 0.7500 0.2500 0.2500
W4 0.7500 0.7500 0.7500

# Ta4GaTe4Se4
Computed X-ray diffraction stick pattern, Cu Kα (λ = 1.5418 Å). Input: a crystal structure in OQMD, relaxed with PBE.
Intensities are scaled so that the largest is 100.

Main lines, most intense first (10 to 80 degrees two-theta):
2θ/deg  intensity
32.5  100
13.9  81
46.7  72
42.7  54
40.1  49
26.9  38
35.6  34
72.9  30
60.0  20
63.2  17

Crystal structure
a = 7.7814 Å, b = 7.7814 Å, c = 7.7814 Å
α = 60.00°, β = 60.00°, γ = 60.00°
Fractional coordinates of all 13 atoms:
Ta1 0.4025 0.4025 0.4025
Ta2 0.4025 0.4025 0.7926
Ta3 0.4025 0.7926 0.4025
Ta4 0.7926 0.4025 0.4025
Ga1 0.0000 0.0000 0.0000
Te1 0.1371 0.1371 0.1371
Te2 0.1371 0.1371 0.5888
Te3 0.1371 0.5888 0.1371
Te4 0.5888 0.1371 0.1371
Se1 0.1083 0.6306 0.6306
Se2 0.6306 0.1083 0.6306
Se3 0.6306 0.6306 0.1083
Se4 0.6306 0.6306 0.6306

# ZnGa2Te3Se
Computed X-ray diffraction stick pattern, Cu Kα (λ = 1.5418 Å). Input: a crystal structure in OQMD, relaxed with PBE.
Intensities are scaled so that the largest is 100.

Main lines, most intense first (10 to 80 degrees two-theta):
2θ/deg  intensity
26.1  100
25.8  58
26.3  50
43.4  43
42.6  24
43.1  23
43.2  23
51.2  22
43.7  21
30.0  15

Crystal structure
a = 5.9438 Å, b = 5.9570 Å, c = 7.1787 Å
α = 114.38°, β = 113.36°, γ = 90.95°
Fractional coordinates of all 7 atoms:
Zn1 0.0000 0.0000 0.0000
Ga1 0.5205 0.5221 0.0012
Ga2 0.7559 0.2801 0.5151
Te1 0.1426 0.1171 0.7330
Te2 0.3767 0.8784 0.2765
Te3 0.9169 0.4218 0.2747
Se1 0.6215 0.6417 0.7459

# Zr3GaSe
Computed X-ray diffraction stick pattern, Cu Kα (λ = 1.5418 Å). Input: a crystal structure in OQMD, relaxed with PBE.
Intensities are scaled so that the largest is 100.

Main lines, most intense first (10 to 80 degrees two-theta):
2θ/deg  intensity
32.7  100
32.0  77
34.1  75
38.0  64
47.9  57
38.5  44
49.9  35
71.7  33
38.3  29
60.5  23

Crystal structure
a = 6.4849 Å, b = 6.4849 Å, c = 9.4017 Å
α = 90.00°, β = 90.00°, γ = 147.28°
Fractional coordinates of all 10 atoms:
Zr1 0.0779 0.9221 0.7500
Zr2 0.3457 0.6543 0.5579
Zr3 0.3457 0.6543 0.9421
Zr4 0.6543 0.3457 0.0579
Zr5 0.6543 0.3457 0.4421
Zr6 0.9221 0.0779 0.2500
Ga1 0.2569 0.7431 0.2500
Ga2 0.7431 0.2569 0.7500
Se1 0.0000 0.0000 0.0000
Se2 0.0000 0.0000 0.5000

# Tb2Ga3Si
Computed X-ray diffraction stick pattern, Cu Kα (λ = 1.5418 Å). Input: a crystal structure in OQMD, relaxed with PBE.
Intensities are scaled so that the largest is 100.

Main lines, most intense first (10 to 80 degrees two-theta):
2θ/deg  intensity
33.2  100
43.5  38
63.9  24
55.7  22
24.7  20
73.2  20
44.4  12
74.6  9
79.8  6
51.5  6

Crystal structure
a = 4.0808 Å, b = 4.1639 Å, c = 7.2100 Å
α = 90.00°, β = 90.00°, γ = 90.00°
Fractional coordinates of all 6 atoms:
Tb1 0.0000 0.0000 0.0000
Tb2 0.0000 0.5000 0.4882
Ga1 0.5000 0.0000 0.6597
Ga2 0.5000 0.5000 0.1605
Ga3 0.5000 0.5000 0.8249
Si1 0.5000 0.0000 0.3287

# SmGaSnTe3
Computed X-ray diffraction stick pattern, Cu Kα (λ = 1.5418 Å). Input: a crystal structure in OQMD, relaxed with PBE.
Intensities are scaled so that the largest is 100.

Main lines, most intense first (10 to 80 degrees two-theta):
2θ/deg  intensity
31.3  100
27.9  59
32.5  36
40.5  33
39.4  31
39.6  28
26.7  27
27.0  26
57.7  20
49.6  19

Crystal structure
a = 7.8738 Å, b = 7.8738 Å, c = 11.0071 Å
α = 90.00°, β = 90.00°, γ = 147.12°
Fractional coordinates of all 12 atoms:
Sm1 0.0000 0.0000 0.0000
Sm2 0.0000 0.0000 0.5000
Ga1 0.4691 0.5309 0.7500
Ga2 0.5309 0.4691 0.2500
Sn1 0.2503 0.7497 0.2500
Sn2 0.7497 0.2503 0.7500
Te1 0.1043 0.8957 0.7500
Te2 0.3520 0.6480 0.5453
Te3 0.3520 0.6480 0.9547
Te4 0.6480 0.3520 0.0453
Te5 0.6480 0.3520 0.4547
Te6 0.8957 0.1043 0.2500